Record 1
Rb4P2PdSe8: computed X-ray powder pattern (copper Kα), based on a cell relaxed with GGA-PBE.
Peak positions follow from Bragg's law for the DFT cell and can differ from measured ones.

Principal peaks in the range 2θ from 10° to 90°, in order of rising 2θ:
| 2θ (°) | Rel. int. | h k l |
| --- | --- | --- |
| 14.67 | 26.9 | 1 0 1 |
| 25.43 | 97.7 | 0 2 1 |
| 25.83 | 77.9 | 2 0 0 |
| 27.32 | 100.0 | 0 0 3 |
| 30.56 | 29.7 | 2 1 -1 |
| 30.62 | 30.3 | 0 2 -2 |
| 30.96 | 43.0 | 1 2 2 |
| 32.87 | 28.4 | 1 -2 2 |
| 35.20 | 39.8 | 2 0 3 |
| 39.72 | 31.4 | 2 -2 2 |
| 40.52 | 32.2 | 2 0 -3 |
| 56.34 | 29.7 | 1 4 3 |

abc: 6.976 7.439 9.893
angles: 87.97 82.14 86.53
Positions (direct):
Rb 0.221 0.164 0.361
Rb 0.246 0.722 0.979
Rb 0.754 0.278 0.021
Rb 0.779 0.836 0.639
P 0.328 0.233 0.758
P 0.672 0.767 0.242
Pd 0.500 0.500 0.500
Se 0.183 0.462 0.644
Se 0.260 0.244 0.982
Se 0.275 0.970 0.682
Se 0.365 0.687 0.320
Se 0.635 0.313 0.680
Se 0.725 0.030 0.318
Se 0.740 0.756 0.018
Se 0.817 0.538 0.356

Record 2
CsPd2F6: computed X-ray powder pattern (copper Kα), based on a cell relaxed with GGA-PBE.
Peak positions follow from Bragg's law for the DFT cell and can differ from measured ones.

Principal peaks in the range 2θ from 10° to 90°, in order of rising 2θ:
| 2θ (°) | Rel. int. | h k l |
| --- | --- | --- |
| 24.51 | 33.3 | 1 1 2 |
| 27.86 | 100.0 | 1 2 1 |
| 28.24 | 18.0 | 2 1 0 |
| 28.62 | 37.5 | 0 1 3 |
| 28.98 | 41.9 | 0 2 2 |
| 29.19 | 46.7 | 1 0 3 |
| 29.58 | 42.3 | 2 1 1 |
| 31.18 | 18.7 | 2 0 2 |
| 44.07 | 30.0 | 0 3 3 |
| 47.08 | 23.6 | 0 4 0 |
| 50.25 | 41.2 | 2 2 4 |
| 57.54 | 18.3 | 2 4 2 |

abc: 6.928 7.720 10.229
angles: 90.00 90.00 90.00
Positions (direct):
Cs 0.021 0.250 0.127
Cs 0.479 0.750 0.627
Cs 0.521 0.250 0.373
Cs 0.979 0.750 0.873
Pd 0.000 0.000 0.500
Pd 0.000 0.500 0.500
Pd 0.166 0.250 0.754
Pd 0.334 0.750 0.254
Pd 0.500 0.000 0.000
Pd 0.500 0.500 0.000
Pd 0.666 0.250 0.746
Pd 0.834 0.750 0.246
F 0.087 0.750 0.155
F 0.093 0.250 0.474
F 0.130 0.515 0.672
F 0.130 0.985 0.672
F 0.250 0.065 0.912
F 0.250 0.435 0.912
F 0.250 0.565 0.412
F 0.250 0.935 0.412
F 0.370 0.015 0.172
F 0.370 0.485 0.172
F 0.407 0.750 0.974
F 0.413 0.250 0.655
F 0.587 0.750 0.345
F 0.593 0.250 0.026
F 0.630 0.515 0.828
F 0.630 0.985 0.828
F 0.750 0.065 0.588
F 0.750 0.435 0.588
F 0.750 0.565 0.088
F 0.750 0.935 0.088
F 0.870 0.015 0.328
F 0.870 0.485 0.328
F 0.907 0.750 0.526
F 0.913 0.250 0.845